# 1
# U2Al3Fe
Theoretical powder X-ray diffraction pattern, λ = 1.5418 Å (Cu Kα). Input: DFT lattice parameters and positions (PBE).
Lines closer than 0.1° are merged.

Crystal structure
Lattice parameters (Å, degrees): 5.4177 5.4177 5.4177 57.25 57.25 57.25
Sites, in units of the cell vectors:
U1 0.1359 0.1359 0.1359
U2 0.8641 0.8641 0.8641
Al1 0.0000 0.5000 0.5000
Al2 0.5000 0.0000 0.5000
Al3 0.5000 0.5000 0.0000
Fe1 0.5000 0.5000 0.5000

Most intense lines, 2θ from 5° to 70°, sorted by position:
Position (°2θ), I_rel
19.7, 56.9
20.8, 51.3
33.1, 62.9
34.6, 81.3
40.1, 100.0
40.7, 22.7
61.0, 23.4
65.6, 23.9

# 2
# UAl10Fe2
Theoretical powder X-ray diffraction pattern, λ = 1.5418 Å (Cu Kα). Input: DFT lattice parameters and positions (PBE).
Lines closer than 0.1° are merged.

Crystal structure
Lattice parameters (Å, degrees): 6.7733 6.7733 8.9636 90.00 90.00 98.03
Sites, in units of the cell vectors:
U1 0.1227 0.8773 0.7500
U2 0.8773 0.1227 0.2500
Al1 0.1349 0.4110 0.7500
Al2 0.1574 0.8426 0.0981
Al3 0.1574 0.8426 0.4019
Al4 0.2195 0.4781 0.2500
Al5 0.2244 0.2244 0.0000
Al6 0.2244 0.2244 0.5000
Al7 0.3745 0.6255 0.5496
Al8 0.3745 0.6255 0.9504
Al9 0.4110 0.1349 0.2500
Al10 0.4781 0.2195 0.7500
Al11 0.5219 0.7805 0.2500
Al12 0.5890 0.8651 0.7500
Al13 0.6255 0.3745 0.0496
Al14 0.6255 0.3745 0.4504
Al15 0.7756 0.7756 0.0000
Al16 0.7756 0.7756 0.5000
Al17 0.7805 0.5219 0.7500
Al18 0.8426 0.1574 0.5981
Al19 0.8426 0.1574 0.9019
Al20 0.8651 0.5890 0.2500
Fe1 0.0000 0.5000 0.0000
Fe2 0.0000 0.5000 0.5000
Fe3 0.5000 0.0000 0.0000
Fe4 0.5000 0.0000 0.5000

Most intense lines, 2θ from 5° to 70°, sorted by position:
Position (°2θ), I_rel
13.2, 82.0
16.5, 86.7
20.0, 66.1
28.3, 56.7
28.4, 73.4
40.3, 56.8
40.4, 77.6
40.6, 100.0

# 3
# Y2AlFe3
Theoretical powder X-ray diffraction pattern, λ = 1.5418 Å (Cu Kα). Input: DFT lattice parameters and positions (PBE).
Lines closer than 0.1° are merged.

Crystal structure
Lattice parameters (Å, degrees): 5.2288 5.2288 5.2288 59.98 59.98 59.98
Sites, in units of the cell vectors:
Y1 0.1221 0.1221 0.1221
Y2 0.8779 0.8779 0.8779
Al1 0.5000 0.5000 0.5000
Fe1 0.0000 0.5000 0.5000
Fe2 0.5000 0.0000 0.5000
Fe3 0.5000 0.5000 0.0000

Most intense lines, 2θ from 5° to 70°, sorted by position:
Position (°2θ), I_rel
20.8, 5.9
24.1, 1.2
34.3, 50.2
40.5, 100.0
42.3, 22.6
55.6, 1.1
61.4, 17.5
65.6, 29.4

# 4
# YAl10Fe2
Theoretical powder X-ray diffraction pattern, λ = 1.5418 Å (Cu Kα). Input: DFT lattice parameters and positions (PBE).
Lines closer than 0.1° are merged.

Crystal structure
Lattice parameters (Å, degrees): 6.7585 6.7585 8.9754 90.00 90.00 97.20
Sites, in units of the cell vectors:
Y1 0.1258 0.8742 0.7500
Y2 0.8742 0.1258 0.2500
Al1 0.1344 0.4146 0.7500
Al2 0.1584 0.8416 0.0972
Al3 0.1584 0.8416 0.4028
Al4 0.2198 0.4782 0.2500
Al5 0.2274 0.2274 0.0000
Al6 0.2274 0.2274 0.5000
Al7 0.3748 0.6252 0.5489
Al8 0.3748 0.6252 0.9511
Al9 0.4146 0.1344 0.2500
Al10 0.4782 0.2198 0.7500
Al11 0.5218 0.7802 0.2500
Al12 0.5854 0.8656 0.7500
Al13 0.6252 0.3748 0.0489
Al14 0.6252 0.3748 0.4511
Al15 0.7726 0.7726 0.0000
Al16 0.7726 0.7726 0.5000
Al17 0.7802 0.5218 0.7500
Al18 0.8416 0.1584 0.5972
Al19 0.8416 0.1584 0.9028
Al20 0.8656 0.5854 0.2500
Fe1 0.0000 0.5000 0.0000
Fe2 0.0000 0.5000 0.5000
Fe3 0.5000 0.0000 0.0000
Fe4 0.5000 0.0000 0.5000

Most intense lines, 2θ from 5° to 70°, sorted by position:
Position (°2θ), I_rel
28.2, 26.9
34.8, 27.5
37.3, 34.1
40.2, 33.2
40.4, 100.0
40.9, 92.6
45.9, 29.8
58.8, 29.0

# 5
# Y3Al2Fe4
Theoretical powder X-ray diffraction pattern, λ = 1.5418 Å (Cu Kα). Input: DFT lattice parameters and positions (PBE).
Lines closer than 0.1° are merged.

Crystal structure
Lattice parameters (Å, degrees): 5.2653 5.3050 12.7884 89.97 89.49 61.11
Sites, in units of the cell vectors:
Y1 0.0033 0.4919 0.1306
Y2 0.3365 0.8242 0.4614
Y3 0.3373 0.8421 0.2105
Y4 0.6627 0.1579 0.7895
Y5 0.6635 0.1758 0.5386
Y6 0.9967 0.5081 0.8694
Al1 0.0000 0.0000 0.0000
Al2 0.1633 0.1686 0.6648
Al3 0.5000 0.5000 0.0000
Al4 0.8367 0.8314 0.3352
Fe1 0.0000 0.5000 0.5000
Fe2 0.1680 0.6650 0.6661
Fe3 0.3349 0.3342 0.3344
Fe4 0.3470 0.8245 0.8269
Fe5 0.5000 0.0000 0.0000
Fe6 0.6530 0.1755 0.1731
Fe7 0.6651 0.6658 0.6656
Fe8 0.8320 0.3350 0.3339

Most intense lines, 2θ from 5° to 70°, sorted by position:
Position (°2θ), I_rel
33.4, 47.7
33.8, 37.4
34.0, 60.1
39.5, 55.1
40.1, 100.0
40.2, 26.1
40.3, 58.9
40.4, 42.5

# 6
# YAl4Fe8
Theoretical powder X-ray diffraction pattern, λ = 1.5418 Å (Cu Kα). Input: DFT lattice parameters and positions (PBE).
Lines closer than 0.1° are merged.

Crystal structure
Lattice parameters (Å, degrees): 6.4927 6.4927 6.4927 98.32 98.32 135.28
Sites, in units of the cell vectors:
Y1 0.0000 0.0000 0.0000
Al1 0.0000 0.3451 0.3451
Al2 0.0000 0.6549 0.6549
Al3 0.3451 0.0000 0.3451
Al4 0.6549 0.0000 0.6549
Fe1 0.0000 0.0000 0.5000
Fe2 0.0000 0.5000 0.0000
Fe3 0.2672 0.5000 0.7672
Fe4 0.5000 0.0000 0.0000
Fe5 0.5000 0.2672 0.7672
Fe6 0.5000 0.5000 0.5000
Fe7 0.5000 0.7328 0.2328
Fe8 0.7328 0.5000 0.2328

Most intense lines, 2θ from 5° to 70°, sorted by position:
Position (°2θ), I_rel
20.9, 12.9
29.7, 37.6
42.3, 42.9
42.6, 100.0
47.7, 38.5
47.9, 14.2
61.6, 13.0
61.8, 12.9

# 7
# YAl3Fe2
Theoretical powder X-ray diffraction pattern, λ = 1.5418 Å (Cu Kα). Input: DFT lattice parameters and positions (PBE).
Lines closer than 0.1° are merged.

Crystal structure
Lattice parameters (Å, degrees): 6.1493 6.1493 2.7175 90.17 90.17 81.38
Sites, in units of the cell vectors:
Y1 0.0000 0.0000 0.0000
Al1 0.1362 0.4620 0.0027
Al2 0.5380 0.8638 0.9973
Al3 0.6003 0.3997 0.0000
Fe1 0.3777 0.1798 0.4992
Fe2 0.8202 0.6223 0.5008

Most intense lines, 2θ from 5° to 70°, sorted by position:
Position (°2θ), I_rel
14.6, 49.1
22.2, 100.0
30.9, 83.6
34.9, 49.5
38.6, 55.6
44.7, 79.2
44.8, 74.8
49.5, 42.6

# 8
# YAl9Fe3
Theoretical powder X-ray diffraction pattern, λ = 1.5418 Å (Cu Kα). Input: DFT lattice parameters and positions (PBE).
Lines closer than 0.1° are merged.

Crystal structure
Lattice parameters (Å, degrees): 6.7559 6.7559 6.6946 97.86 97.86 136.12
Sites, in units of the cell vectors:
Y1 0.0000 0.0000 0.0000
Al1 0.0000 0.0000 0.5000
Al2 0.0007 0.3542 0.3374
Al3 0.2915 0.5162 0.7863
Al4 0.3542 0.0007 0.3374
Al5 0.4838 0.7085 0.2137
Al6 0.5162 0.2915 0.7863
Al7 0.6458 0.9993 0.6626
Al8 0.7085 0.4838 0.2137
Al9 0.9993 0.6458 0.6626
Fe1 0.0000 0.5000 0.0000
Fe2 0.5000 0.0000 0.0000
Fe3 0.5000 0.5000 0.5000

Most intense lines, 2θ from 5° to 70°, sorted by position:
Position (°2θ), I_rel
14.2, 20.5
28.5, 23.9
35.1, 24.0
40.9, 100.0
41.0, 41.4
41.2, 17.9
41.3, 36.6
46.0, 17.5

# 9
# Zr2AlFe3
Theoretical powder X-ray diffraction pattern, λ = 1.5418 Å (Cu Kα). Input: DFT lattice parameters and positions (PBE).
Lines closer than 0.1° are merged.

Crystal structure
Lattice parameters (Å, degrees): 5.0382 5.0382 5.0382 59.66 59.66 59.66
Sites, in units of the cell vectors:
Zr1 0.1215 0.1215 0.1215
Zr2 0.8785 0.8785 0.8785
Al1 0.5000 0.5000 0.5000
Fe1 0.0000 0.5000 0.5000
Fe2 0.5000 0.0000 0.5000
Fe3 0.5000 0.5000 0.0000

Most intense lines, 2θ from 5° to 70°, sorted by position:
Position (°2θ), I_rel
35.6, 46.0
35.8, 22.7
42.0, 32.3
42.2, 100.0
44.2, 23.2
64.3, 15.3
68.6, 14.1
68.8, 11.4

# 10
# Zr3AlFe8
Theoretical powder X-ray diffraction pattern, λ = 1.5418 Å (Cu Kα). Input: DFT lattice parameters and positions (PBE).
Lines closer than 0.1° are merged.

Crystal structure
Lattice parameters (Å, degrees): 8.5288 8.5288 8.5288 33.54 33.54 33.54
Sites, in units of the cell vectors:
Zr1 0.0000 0.0000 0.0000
Zr2 0.1276 0.1276 0.1276
Zr3 0.6207 0.6207 0.6207
Al1 0.4990 0.4990 0.4990
Fe1 0.0607 0.0607 0.5613
Fe2 0.0607 0.5613 0.0607
Fe3 0.0659 0.5621 0.5621
Fe4 0.3120 0.3120 0.3120
Fe5 0.5613 0.0607 0.0607
Fe6 0.5621 0.0659 0.5621
Fe7 0.5621 0.5621 0.0659
Fe8 0.8122 0.8122 0.8122

Most intense lines, 2θ from 5° to 70°, sorted by position:
Position (°2θ), I_rel
11.0, 2.7
21.2, 3.2
22.1, 2.4
27.9, 3.0
36.5, 36.7
43.1, 100.0
45.1, 31.7
65.7, 12.3

# 11
# ZrAl6Fe6
Theoretical powder X-ray diffraction pattern, λ = 1.5418 Å (Cu Kα). Input: DFT lattice parameters and positions (PBE).
Lines closer than 0.1° are merged.

Crystal structure
Lattice parameters (Å, degrees): 6.4884 6.4884 6.4884 135.11 99.09 97.68
Sites, in units of the cell vectors:
Zr1 0.0000 0.0000 0.0000
Al1 0.1856 0.6856 0.5000
Al2 0.3349 0.0000 0.3349
Al3 0.3437 0.3437 0.0000
Al4 0.6563 0.6563 0.0000
Al5 0.6651 0.0000 0.6651
Al6 0.8144 0.3144 0.5000
Fe1 0.0000 0.0000 0.5000
Fe2 0.0000 0.5000 0.0000
Fe3 0.2395 0.5000 0.7395
Fe4 0.5000 0.0000 0.0000
Fe5 0.5000 0.5000 0.5000
Fe6 0.7605 0.5000 0.2605

Most intense lines, 2θ from 5° to 70°, sorted by position:
Position (°2θ), I_rel
21.1, 52.0
29.8, 70.3
42.2, 100.0
42.3, 97.0
42.4, 82.7
43.0, 65.6
47.6, 82.5
61.8, 37.5

# 12
# Zr6Al2Fe
Theoretical powder X-ray diffraction pattern, λ = 1.5418 Å (Cu Kα). Input: DFT lattice parameters and positions (PBE).
Lines closer than 0.1° are merged.

Crystal structure
Lattice parameters (Å, degrees): 7.9725 7.9725 3.3154 90.00 90.00 120.00
Sites, in units of the cell vectors:
Zr1 0.0000 0.2496 0.0000
Zr2 0.0000 0.6010 0.5000
Zr3 0.2496 0.0000 0.0000
Zr4 0.3990 0.3990 0.5000
Zr5 0.6010 0.0000 0.5000
Zr6 0.7504 0.7504 0.0000
Al1 0.3333 0.6667 0.0000
Al2 0.6667 0.3333 0.0000
Fe1 0.0000 0.0000 0.5000

Most intense lines, 2θ from 5° to 70°, sorted by position:
Position (°2θ), I_rel
34.4, 72.8
35.2, 100.0
37.6, 59.9
39.1, 32.0
44.2, 21.4
55.4, 32.7
65.3, 29.7
66.9, 19.9